Record 1
Calculated XRD peak list of InGaGeCl6 for Cu Kα, from a crystal structure in Alexandria, relaxed with GGA-PBE.
Intensities are scaled so that the largest is 100.

Atomic structure:
```
data_InGaGeCl6
_space_group_name_H-M_alt 'P 3 1 2'
_space_group_IT_number 149
_space_group_name_Hall 'P 3 2'
_cell_length_a 6.6869
_cell_length_b 6.6869
_cell_length_c 6.9552
_cell_angle_alpha 90.00
_cell_angle_beta 90.00
_cell_angle_gamma 120.00
loop_
_atom_site_label
_atom_site_type_symbol
_atom_site_fract_x
_atom_site_fract_y
_atom_site_fract_z
_atom_site_occupancy
In1 In 0.0000 0.0000 0.0000 1
Ga1 Ga 0.6667 0.3333 0.5000 1
Ge1 Ge 0.3333 0.6667 0.5000 1
Cl1 Cl 0.3837 0.0324 0.7025 1
```

Most intense lines, 2θ = 10–90°, by angle:
20.0 deg, intensity 100, hkl 1 0 1; 29.6 deg, intensity 27, hkl 2 -1 1; 33.5 deg, intensity 21, hkl 2 0 1; 37.3 deg, intensity 65, hkl 2 -1 2; 43.3 deg, intensity 28, hkl 3 -1 1; 47.1 deg, intensity 23, hkl 3 0 0


Record 2
Calculated XRD peak list of GaGePCl2 for Cu Kα, from a crystal structure in Alexandria, relaxed with GGA-PBE.
Intensities are scaled so that the largest is 100.

Atomic structure:
```
data_GaGePCl2
_space_group_name_H-M_alt 'P 4/m m m'
_space_group_IT_number 123
_space_group_name_Hall '-P 4 2'
_cell_length_a 4.7487
_cell_length_b 4.7487
_cell_length_c 5.0047
_cell_angle_alpha 90.00
_cell_angle_beta 90.00
_cell_angle_gamma 90.00
loop_
_atom_site_label
_atom_site_type_symbol
_atom_site_fract_x
_atom_site_fract_y
_atom_site_fract_z
_atom_site_occupancy
Ga1 Ga 0.0000 0.0000 0.0000 1
Ge1 Ge 0.5000 0.5000 0.5000 1
P1 P 0.0000 0.0000 0.5000 1
Cl1 Cl 0.0000 0.5000 0.0000 1
```

Most intense lines, 2θ = 10–90°, by angle:
25.9 deg, intensity 100, hkl 1 0 1; 32.1 deg, intensity 46, hkl 1 1 1; 35.9 deg, intensity 48, hkl 0 0 2; 37.9 deg, intensity 83, hkl 2 0 0; 46.5 deg, intensity 42, hkl 2 1 1; 53.2 deg, intensity 58, hkl 2 0 2


Record 3
Calculated XRD peak list of RbGaGe2Cl8 for Cu Kα, from a crystal structure in Alexandria, relaxed with GGA-PBE.
Intensities are scaled so that the largest is 100.

Atomic structure:
```
data_RbGaGe2Cl8
_space_group_name_H-M_alt 'P -1'
_space_group_IT_number 2
_space_group_name_Hall '-P 1'
_cell_length_a 6.3160
_cell_length_b 7.2167
_cell_length_c 9.0926
_cell_angle_alpha 78.89
_cell_angle_beta 81.73
_cell_angle_gamma 83.40
loop_
_atom_site_label
_atom_site_type_symbol
_atom_site_fract_x
_atom_site_fract_y
_atom_site_fract_z
_atom_site_occupancy
Rb1 Rb 0.0000 0.0000 0.0000 1
Ga1 Ga 0.0000 0.0000 0.5000 1
Ge1 Ge 0.4837 0.3957 0.2550 1
Cl1 Cl 0.1525 0.7567 0.7179 1
Cl2 Cl 0.1771 0.8337 0.3320 1
Cl3 Cl 0.3050 0.2070 0.4754 1
Cl4 Cl 0.4389 0.2359 0.0660 1
```

Most intense lines, 2θ = 10–90°, by angle:
14.6 deg, intensity 53, hkl 0 1 1; 18.1 deg, intensity 100, hkl 1 1 0; 19.9 deg, intensity 66, hkl 1 -1 0; 21.7 deg, intensity 37, hkl 0 1 2; 25.6 deg, intensity 54, hkl 0 1 -2; 34.9 deg, intensity 32, hkl -1 2 2


Record 4
Calculated XRD peak list of TlGaGe2Cl8 for Cu Kα, from a crystal structure in Alexandria, relaxed with GGA-PBE.
Intensities are scaled so that the largest is 100.

Atomic structure:
```
data_TlGaGe2Cl8
_space_group_name_H-M_alt 'P -1'
_space_group_IT_number 2
_space_group_name_Hall '-P 1'
_cell_length_a 6.0165
_cell_length_b 7.7782
_cell_length_c 8.5731
_cell_angle_alpha 99.13
_cell_angle_beta 100.59
_cell_angle_gamma 96.29
loop_
_atom_site_label
_atom_site_type_symbol
_atom_site_fract_x
_atom_site_fract_y
_atom_site_fract_z
_atom_site_occupancy
Tl1 Tl 0.0000 0.0000 0.0000 1
Ga1 Ga 0.0000 0.0000 0.5000 1
Ge1 Ge 0.4664 0.6631 0.2433 1
Cl1 Cl 0.1330 0.7353 0.3506 1
Cl2 Cl 0.1891 0.1886 0.3801 1
Cl3 Cl 0.2946 0.6659 0.9798 1
Cl4 Cl 0.3378 0.0378 0.7289 1
```

Most intense lines, 2θ = 10–90°, by angle:
11.6 deg, intensity 99, hkl 0 1 0; 17.8 deg, intensity 41, hkl 1 -1 0; 20.5 deg, intensity 100, hkl 1 1 0; 26.1 deg, intensity 44, hkl 1 -2 0; 28.8 deg, intensity 64, hkl 1 0 2; 34.8 deg, intensity 32, hkl -1 2 2


Record 5
Calculated XRD peak list of Ga2H6Cl for Cu Kα, from a crystal structure in Alexandria, relaxed with GGA-PBE.
Intensities are scaled so that the largest is 100.

Atomic structure:
```
data_Ga2H6Cl
_space_group_name_H-M_alt 'P 1'
_space_group_IT_number 1
_space_group_name_Hall 'P 1'
_cell_length_a 3.3549
_cell_length_b 5.9986
_cell_length_c 6.7135
_cell_angle_alpha 95.47
_cell_angle_beta 99.66
_cell_angle_gamma 90.49
loop_
_atom_site_label
_atom_site_type_symbol
_atom_site_fract_x
_atom_site_fract_y
_atom_site_fract_z
_atom_site_occupancy
Ga1 Ga 0.0000 0.0000 0.0000 1
Ga2 Ga 0.1051 0.7682 0.3145 1
H1 H 0.3250 0.5396 0.8049 1
H2 H 0.4030 0.5867 0.7182 1
H3 H 0.4649 0.0148 0.8969 1
H4 H 0.6398 0.7506 0.4167 1
H5 H 0.6962 0.1805 0.5866 1
H6 H 0.7736 0.2275 0.4997 1
Cl1 Cl 0.0481 0.3868 0.1500 1
```

Most intense lines, 2θ = 10–90°, by angle:
13.4 deg, intensity 100, hkl 0 0 1; 14.8 deg, intensity 30, hkl 0 1 0; 21.0 deg, intensity 30, hkl 0 1 1; 27.0 deg, intensity 44, hkl 1 0 0; 28.1 deg, intensity 31, hkl 1 0 -1; 29.7 deg, intensity 37, hkl 0 1 -2


Record 6
Calculated XRD peak list of K2GaHCl6 for Cu Kα, from a crystal structure in Alexandria, relaxed with GGA-PBE.
Intensities are scaled so that the largest is 100.

Atomic structure:
```
data_K2GaHCl6
_space_group_name_H-M_alt 'P 1'
_space_group_IT_number 1
_space_group_name_Hall 'P 1'
_cell_length_a 5.6215
_cell_length_b 6.5280
_cell_length_c 9.4496
_cell_angle_alpha 100.38
_cell_angle_beta 90.00
_cell_angle_gamma 115.49
loop_
_atom_site_label
_atom_site_type_symbol
_atom_site_fract_x
_atom_site_fract_y
_atom_site_fract_z
_atom_site_occupancy
K1 K 0.0000 0.0000 0.0000 1
K2 K 0.4350 0.8680 0.4164 1
Ga1 Ga 0.1326 0.4345 0.7083 1
H1 H 0.7238 0.4338 0.2081 1
Cl1 Cl 0.0585 0.7341 0.6891 1
Cl2 Cl 0.3035 0.3531 0.5081 1
Cl3 Cl 0.3843 0.5155 0.9087 1
Cl4 Cl 0.5886 0.1639 0.1627 1
Cl5 Cl 0.7587 0.1351 0.7275 1
Cl6 Cl 0.8597 0.7035 0.2535 1
```

Most intense lines, 2θ = 10–90°, by angle:
19.2 deg, intensity 32, hkl 0 0 2; 19.7 deg, intensity 28, hkl 0 1 1; 20.7 deg, intensity 100, hkl 1 0 1; 27.2 deg, intensity 41, hkl -1 1 2; 28.1 deg, intensity 85, hkl 1 -2 1; 32.6 deg, intensity 33, hkl 1 -1 3


Record 7
Calculated XRD peak list of HfGa3Cl7 for Cu Kα, from a crystal structure in Alexandria, relaxed with GGA-PBE.
Intensities are scaled so that the largest is 100.

Atomic structure:
```
data_HfGa3Cl7
_space_group_name_H-M_alt 'C 1 m 1'
_space_group_IT_number 8
_space_group_name_Hall 'C -2y'
_cell_length_a 10.3103
_cell_length_b 9.7734
_cell_length_c 7.4550
_cell_angle_alpha 90.00
_cell_angle_beta 116.32
_cell_angle_gamma 90.00
loop_
_atom_site_label
_atom_site_type_symbol
_atom_site_fract_x
_atom_site_fract_y
_atom_site_fract_z
_atom_site_occupancy
Hf1 Hf 0.0000 0.0000 0.0000 1
Ga1 Ga 0.4828 0.2654 0.5126 1
Ga2 Ga 0.4929 0.0000 0.9897 1
Cl1 Cl 0.1455 0.0000 0.8077 1
Cl2 Cl 0.1494 0.1810 0.2200 1
Cl3 Cl 0.3426 0.5000 0.1685 1
Cl4 Cl 0.3469 0.3203 0.7642 1
Cl5 Cl 0.4883 0.0000 0.6498 1
```

Most intense lines, 2θ = 10–90°, by angle:
13.2 deg, intensity 80, hkl 1 1 0; 19.2 deg, intensity 61, hkl 2 0 0; 22.5 deg, intensity 100, hkl 0 2 1; 25.0 deg, intensity 46, hkl 2 0 -2; 33.5 deg, intensity 65, hkl 2 2 1; 39.7 deg, intensity 46, hkl 2 0 2


Record 8
Calculated XRD peak list of InGaHgCl4 for Cu Kα, from a crystal structure in Alexandria, relaxed with GGA-PBE.
Intensities are scaled so that the largest is 100.

Atomic structure:
```
data_InGaHgCl4
_space_group_name_H-M_alt 'C 1 2/m 1'
_space_group_IT_number 12
_space_group_name_Hall '-C 2y'
_cell_length_a 12.7938
_cell_length_b 9.8869
_cell_length_c 8.9783
_cell_angle_alpha 90.00
_cell_angle_beta 105.60
_cell_angle_gamma 90.00
loop_
_atom_site_label
_atom_site_type_symbol
_atom_site_fract_x
_atom_site_fract_y
_atom_site_fract_z
_atom_site_occupancy
In1 In 0.2460 0.0000 0.1299 1
Ga1 Ga 0.1524 0.5000 0.2657 1
Hg1 Hg 0.0254 0.0000 0.8116 1
Cl1 Cl 0.0118 0.5000 0.7028 1
Cl2 Cl 0.1737 0.3235 0.1221 1
Cl3 Cl 0.2240 0.0000 0.5127 1
```

Most intense lines, 2θ = 10–90°, by angle:
10.2 deg, intensity 46, hkl 0 0 1; 11.5 deg, intensity 32, hkl 1 1 0; 17.9 deg, intensity 100, hkl 0 2 0; 27.2 deg, intensity 56, hkl 3 1 -2; 28.0 deg, intensity 44, hkl 3 1 1; 28.3 deg, intensity 30, hkl 2 2 -2


Record 9
Calculated XRD peak list of Ga4Hg11P4Cl16 for Cu Kα, from a crystal structure in Alexandria, relaxed with GGA-PBE.
Intensities are scaled so that the largest is 100.

Atomic structure:
```
data_Ga4Hg11P4Cl16
_space_group_name_H-M_alt 'C 1 2/m 1'
_space_group_IT_number 12
_space_group_name_Hall '-C 2y'
_cell_length_a 13.2522
_cell_length_b 7.6483
_cell_length_c 22.5176
_cell_angle_alpha 90.00
_cell_angle_beta 100.82
_cell_angle_gamma 90.00
loop_
_atom_site_label
_atom_site_type_symbol
_atom_site_fract_x
_atom_site_fract_y
_atom_site_fract_z
_atom_site_occupancy
Ga1 Ga 0.1295 0.0000 0.3839 1
Ga2 Ga 0.2130 0.5000 0.1180 1
Hg1 Hg 0.0000 0.5000 0.5000 1
Hg2 Hg 0.0063 0.2502 0.7807 1
Hg3 Hg 0.0213 0.0000 0.0600 1
Hg4 Hg 0.0391 0.5000 0.6208 1
Hg5 Hg 0.2440 0.0000 0.2185 1
P1 P 0.0622 0.0000 0.1731 1
P2 P 0.0753 0.5000 0.7356 1
Cl1 Cl 0.0375 0.0000 0.6547 1
Cl2 Cl 0.0455 0.5000 0.0870 1
Cl3 Cl 0.1605 0.0000 0.4817 1
Cl4 Cl 0.1946 0.2321 0.3454 1
Cl5 Cl 0.2163 0.2372 0.9118 1
Cl6 Cl 0.2435 0.5000 0.2180 1
```

Most intense lines, 2θ = 10–90°, by angle:
13.6 deg, intensity 100, hkl 1 1 -1; 23.3 deg, intensity 30, hkl 0 2 0; 27.5 deg, intensity 80, hkl 4 0 0; 28.2 deg, intensity 36, hkl 0 0 7; 43.8 deg, intensity 28, hkl 2 2 -9; 47.5 deg, intensity 41, hkl 0 4 0


Record 10
Calculated XRD peak list of GaHg2SbCl6 for Cu Kα, from a crystal structure in Alexandria, relaxed with GGA-PBE.
Intensities are scaled so that the largest is 100.

Atomic structure:
```
data_GaHg2SbCl6
_space_group_name_H-M_alt 'C 1 2/m 1'
_space_group_IT_number 12
_space_group_name_Hall '-C 2y'
_cell_length_a 10.2933
_cell_length_b 10.3032
_cell_length_c 7.2852
_cell_angle_alpha 90.00
_cell_angle_beta 134.92
_cell_angle_gamma 90.00
loop_
_atom_site_label
_atom_site_type_symbol
_atom_site_fract_x
_atom_site_fract_y
_atom_site_fract_z
_atom_site_occupancy
Ga1 Ga 0.0000 0.0000 0.0000 1
Hg1 Hg 0.0000 0.2502 0.5000 1
Sb1 Sb 0.0000 0.5000 0.0000 1
Cl1 Cl 0.0000 0.2413 0.0000 1
Cl2 Cl 0.2404 0.0000 0.9987 1
Cl3 Cl 0.2410 0.0000 0.4836 1
```

Most intense lines, 2θ = 10–90°, by angle:
24.4 deg, intensity 100, hkl 2 0 0; 30.0 deg, intensity 27, hkl 2 2 0; 34.8 deg, intensity 49, hkl 0 4 0; 43.0 deg, intensity 47, hkl 2 4 0; 50.1 deg, intensity 34, hkl 0 4 2; 68.1 deg, intensity 19, hkl 2 6 1